Entry 1:
For Mo2PO8, a PBE+U-relaxed structure gives the theoretical powder X-ray diffraction pattern in this record (Cu Kα, 1.54184 Å).
Lines closer than 0.1° are merged.

Largest 10 diffraction maxima, low angle first, 2θ from 15° to 90°:
d_spacing	2theta	I (rel.)
4.407	20.1	65
4.070	21.8	100
3.779	23.5	82
3.676	24.2	50
3.407	26.2	52
2.696	33.2	35
2.686	33.4	23
2.577	34.8	30
1.772	51.6	24
1.704	53.8	23

Structure:
a b c (Å): 6.6659 5.3726 17.6239
angles (deg): 90.00 90.18 90.00
Positions (direct):
Mo (0.0044, 0.0000, 0.1284)
Mo (0.1628, 0.4968, 0.5434)
Mo (0.3367, 0.4998, 0.0432)
Mo (0.4963, 0.9970, 0.6274)
Mo (0.5037, 0.4970, 0.3726)
Mo (0.6633, 0.9998, 0.9568)
Mo (0.8372, 0.9968, 0.4566)
Mo (0.9956, 0.5000, 0.8716)
P (0.1963, 0.9861, 0.3136)
P (0.3043, 0.0024, 0.8124)
P (0.6957, 0.5024, 0.1876)
P (0.8037, 0.4861, 0.6864)
O (0.0034, 0.9979, 0.3620)
O (0.0133, 0.2257, 0.5039)
O (0.1393, 0.0092, 0.2291)
O (0.1598, 0.4974, 0.9592)
O (0.1639, 0.7482, 0.0934)
O (0.1717, 0.2406, 0.0910)
O (0.1796, 0.7700, 0.8300)
O (0.1855, 0.2433, 0.8252)
O (0.2979, 0.7321, 0.3251)
O (0.3170, 0.7716, 0.5880)
O (0.3348, 0.2032, 0.3344)
O (0.3409, 0.4966, 0.4601)
O (0.3471, 0.2629, 0.5960)
O (0.3657, 0.9915, 0.7283)
O (0.4955, 0.0040, 0.8621)
O (0.4954, 0.7557, 0.0004)
O (0.5046, 0.2557, 0.9996)
O (0.5045, 0.5040, 0.1379)
O (0.6343, 0.4915, 0.2717)
O (0.6529, 0.7629, 0.4040)
O (0.6591, 0.9966, 0.5399)
O (0.6652, 0.7032, 0.6656)
O (0.6829, 0.2716, 0.4120)
O (0.7021, 0.2321, 0.6749)
O (0.8145, 0.7433, 0.1748)
O (0.8204, 0.2700, 0.1700)
O (0.8283, 0.7406, 0.9090)
O (0.8361, 0.2482, 0.9066)
O (0.8402, 0.9974, 0.0408)
O (0.8607, 0.5092, 0.7709)
O (0.9867, 0.7257, 0.4961)
O (0.9966, 0.4979, 0.6380)



Entry 2:
For Li4Co3Ni3P6O24, a PBE+U-relaxed structure gives the theoretical powder X-ray diffraction pattern in this record (Cu Kα, 1.54184 Å).
Lines closer than 0.1° are merged.

Largest 10 diffraction maxima, low angle first, 2θ from 15° to 90°:
d_spacing	2theta	I (rel.)
4.391	20.2	100
3.698	24.1	32
3.664	24.3	31
3.639	24.5	31
2.678	33.5	31
2.654	33.8	28
2.633	34.0	26
2.535	35.4	60
1.661	55.3	15
1.658	55.4	16

Structure:
a b c (Å): 8.2987 8.4142 8.4165
angles (deg): 62.83 63.45 63.42
Positions (direct):
Li (0.0000, 0.0000, 0.0000)
Li (0.1005, 0.5024, 0.8860)
Li (0.4873, 0.7105, 0.2940)
Li (0.8918, 0.0953, 0.5002)
Co (0.2570, 0.8563, 0.6438)
Co (0.7370, 0.3622, 0.1449)
Co (0.8908, 0.5015, 0.2925)
Ni (0.1018, 0.7090, 0.5001)
Ni (0.3902, 0.0016, 0.7900)
Ni (0.6063, 0.2124, 0.0015)
P (0.1946, 0.1092, 0.1907)
P (0.2996, 0.6051, 0.0994)
P (0.5011, 0.4037, 0.6008)
P (0.6948, 0.9060, 0.3993)
P (0.8019, 0.8136, 0.9005)
P (0.9973, 0.3092, 0.6960)
O (0.0008, 0.7851, 0.7432)
O (0.0666, 0.4625, 0.6711)
O (0.1365, 0.5333, 0.1413)
O (0.1444, 0.1085, 0.7161)
O (0.1799, 0.9525, 0.3911)
O (0.2018, 0.0463, 0.0438)
O (0.2751, 0.6721, 0.2527)
O (0.2946, 0.7683, 0.9090)
O (0.3473, 0.6044, 0.5765)
O (0.3595, 0.1704, 0.1418)
O (0.4334, 0.2508, 0.6297)
O (0.4974, 0.4548, 0.0745)
O (0.4977, 0.9232, 0.5492)
O (0.5702, 0.3683, 0.7548)
O (0.6380, 0.8569, 0.8398)
O (0.6571, 0.4297, 0.3974)
O (0.6928, 0.0969, 0.2361)
O (0.7331, 0.7438, 0.3326)
O (0.7888, 0.9620, 0.9646)
O (0.8201, 0.6105, 0.0574)
O (0.8491, 0.2842, 0.8973)
O (0.8504, 0.8787, 0.4693)
O (0.9290, 0.3470, 0.5351)
O (0.9929, 0.2671, 0.2221)



Entry 3:
For Li9Mn2Co5O16, a PBE+U-relaxed structure gives the theoretical powder X-ray diffraction pattern in this record (Cu Kα, 1.54184 Å).
Lines closer than 0.1° are merged.

Largest 10 diffraction maxima, low angle first, 2θ from 15° to 90°:
d_spacing	2theta	I (rel.)
4.855	18.3	100
2.530	35.5	15
2.468	36.4	25
2.101	43.1	28
2.063	43.9	54
1.900	47.9	9
1.600	57.6	10
1.473	63.1	14
1.470	63.3	15
1.407	66.5	10

Structure:
a b c (Å): 19.4901 19.4901 5.1353
angles (deg): 92.39 92.39 8.44
Positions (direct):
Li (0.0000, 0.0000, 0.0000)
Li (0.1307, 0.1307, 0.3885)
Li (0.1901, 0.1901, 0.0675)
Li (0.2509, 0.2509, 0.7355)
Li (0.3766, 0.3766, 0.1309)
Li (0.4997, 0.4997, 0.4976)
Li (0.6348, 0.6348, 0.9131)
Li (0.7484, 0.7484, 0.2316)
Li (0.8773, 0.8773, 0.6232)
Mn (0.5649, 0.5649, 0.1915)
Mn (0.6897, 0.6897, 0.5645)
Co (0.0650, 0.0650, 0.6922)
Co (0.3143, 0.3143, 0.4348)
Co (0.4396, 0.4396, 0.8137)
Co (0.8143, 0.8143, 0.9348)
Co (0.9394, 0.9394, 0.3130)
O (0.0365, 0.0365, 0.3210)
O (0.0930, 0.0930, 0.0612)
O (0.1615, 0.1615, 0.7119)
O (0.2171, 0.2171, 0.4202)
O (0.2876, 0.2876, 0.0805)
O (0.3414, 0.3414, 0.7925)
O (0.4106, 0.4106, 0.4733)
O (0.4691, 0.4691, 0.1587)
O (0.5379, 0.5379, 0.8643)
O (0.5907, 0.5907, 0.5183)
O (0.6605, 0.6605, 0.2551)
O (0.7188, 0.7188, 0.8745)
O (0.7853, 0.7853, 0.5781)
O (0.8444, 0.8444, 0.2910)
O (0.9104, 0.9104, 0.9695)
O (0.9697, 0.9697, 0.6590)



Please write out number 1 again, unchanged.
For Mo2PO8, a PBE+U-relaxed structure gives the theoretical powder X-ray diffraction pattern in this record (Cu Kα, 1.54184 Å).
Lines closer than 0.1° are merged.

Largest 10 diffraction maxima, low angle first, 2θ from 15° to 90°:
d_spacing	2theta	I (rel.)
4.407	20.1	65
4.070	21.8	100
3.779	23.5	82
3.676	24.2	50
3.407	26.2	52
2.696	33.2	35
2.686	33.4	23
2.577	34.8	30
1.772	51.6	24
1.704	53.8	23

Structure:
a b c (Å): 6.6659 5.3726 17.6239
angles (deg): 90.00 90.18 90.00
Positions (direct):
Mo (0.0044, 0.0000, 0.1284)
Mo (0.1628, 0.4968, 0.5434)
Mo (0.3367, 0.4998, 0.0432)
Mo (0.4963, 0.9970, 0.6274)
Mo (0.5037, 0.4970, 0.3726)
Mo (0.6633, 0.9998, 0.9568)
Mo (0.8372, 0.9968, 0.4566)
Mo (0.9956, 0.5000, 0.8716)
P (0.1963, 0.9861, 0.3136)
P (0.3043, 0.0024, 0.8124)
P (0.6957, 0.5024, 0.1876)
P (0.8037, 0.4861, 0.6864)
O (0.0034, 0.9979, 0.3620)
O (0.0133, 0.2257, 0.5039)
O (0.1393, 0.0092, 0.2291)
O (0.1598, 0.4974, 0.9592)
O (0.1639, 0.7482, 0.0934)
O (0.1717, 0.2406, 0.0910)
O (0.1796, 0.7700, 0.8300)
O (0.1855, 0.2433, 0.8252)
O (0.2979, 0.7321, 0.3251)
O (0.3170, 0.7716, 0.5880)
O (0.3348, 0.2032, 0.3344)
O (0.3409, 0.4966, 0.4601)
O (0.3471, 0.2629, 0.5960)
O (0.3657, 0.9915, 0.7283)
O (0.4955, 0.0040, 0.8621)
O (0.4954, 0.7557, 0.0004)
O (0.5046, 0.2557, 0.9996)
O (0.5045, 0.5040, 0.1379)
O (0.6343, 0.4915, 0.2717)
O (0.6529, 0.7629, 0.4040)
O (0.6591, 0.9966, 0.5399)
O (0.6652, 0.7032, 0.6656)
O (0.6829, 0.2716, 0.4120)
O (0.7021, 0.2321, 0.6749)
O (0.8145, 0.7433, 0.1748)
O (0.8204, 0.2700, 0.1700)
O (0.8283, 0.7406, 0.9090)
O (0.8361, 0.2482, 0.9066)
O (0.8402, 0.9974, 0.0408)
O (0.8607, 0.5092, 0.7709)
O (0.9867, 0.7257, 0.4961)
O (0.9966, 0.4979, 0.6380)